1.
The following is a theoretical powder diffractogram of Ge3Pb5O11. It was derived from DFT lattice parameters and positions (GGA-PBE), using copper Kα.
Peak positions follow from Bragg's law for the DFT cell and can differ from measured ones.

Structure:
Cell lengths 10.4357, 10.4357, 10.8992 Å; angles 90.00, 90.00, 120.00 degrees
Space group P3 (No. 143)
One atom of each set of equivalent atoms:
Ge 0.0082 0.3883 0.0000 x3
Ge 0.0207 0.3946 0.3025 x3
Ge 0.3909 0.3832 0.6597 x3
Pb 0.0020 0.2623 0.6767 x3
Pb 0.0028 0.7286 0.3400 x3
Pb 0.2631 0.2597 0.9714 x3
Pb 0.3333 0.6667 0.1567 x1
Pb 0.3333 0.6667 0.4955 x1
Pb 0.3333 0.6667 0.8184 x1
Pb 0.6667 0.3333 0.1553 x1
Pb 0.6667 0.3333 0.4759 x1
Pb 0.6667 0.3333 0.8296 x1
O 0.0688 0.3560 0.1495 x3
O 0.0841 0.3181 0.8912 x3
O 0.0909 0.3212 0.4114 x3
O 0.0947 0.5839 0.9855 x3
O 0.1239 0.5936 0.3085 x3
O 0.1893 0.7047 0.6583 x3
O 0.3104 0.2386 0.7718 x3
O 0.3738 0.2859 0.5220 x3
O 0.4769 0.1861 0.9917 x3
O 0.4949 0.1699 0.3165 x3
O 0.5053 0.0881 0.6925 x3

The 8 most intense peaks (2θ from 10° to 90°), in order of rising 2θ:
| d_spacing | I/Imax | h k l |
| --- | --- | --- |
| 3.416 | 41 | 2 1 0 |
| 3.260 | 39 | 3 -2 1 |
| 3.013 | 77 | 3 0 0 |
| 2.982 | 100 | 1 1 3 |
| 2.894 | 38 | 3 -2 2 |
| 2.119 | 36 | 2 2 3 |
| 1.919 | 28 | 4 0 3 |
| 1.556 | 27 | 3 0 6 |

***

2.
The following is a theoretical powder diffractogram of K2Na2Sm2MgNb2O10. It was derived from DFT lattice parameters and positions (GGA-PBE), using copper Kα.
Peak positions follow from Bragg's law for the DFT cell and can differ from measured ones.

Structure:
Cell lengths 5.8739, 5.7302, 8.7277 Å; angles 90.00, 95.00, 90.00 degrees
Space group Pm (No. 6)
One atom of each set of equivalent atoms:
K 0.0000 0.0000 0.0000 x1
K 0.4269 0.5000 0.0918 x1
Na 0.2998 0.0000 0.3518 x1
Na 0.9464 0.5000 0.8494 x1
Sm 0.4265 0.5000 0.5899 x1
Sm 0.9377 0.0000 0.6103 x1
Mg 0.7211 0.0000 0.2667 x1
Nb 0.4688 0.0000 0.8375 x1
Nb 0.9059 0.5000 0.3480 x1
O 0.1242 0.2774 0.4740 x2
O 0.2264 0.2300 0.7863 x2
O 0.5204 0.0000 0.0590 x1
O 0.6439 0.2663 0.4048 x2
O 0.6794 0.2300 0.7533 x2
O 0.9418 0.5000 0.1360 x1

The 8 most intense peaks (2θ from 10° to 90°), in order of rising 2θ:
| d_spacing | I/Imax | h k l |
| --- | --- | --- |
| 8.695 | 100 | 0 0 1 |
| 4.785 | 30 | 0 1 1 |
| 3.620 | 32 | 1 1 1 |
| 3.075 | 76 | 1 1 -2 |
| 2.926 | 25 | 2 0 0 |
| 2.894 | 85 | 1 1 2 |
| 2.865 | 36 | 0 2 0 |
| 2.047 | 40 | 2 2 0 |

***

3.
The following is a theoretical powder diffractogram of KMgPH12O10. It was derived from DFT lattice parameters and positions (GGA-PBE), using copper Kα.
Peak positions follow from Bragg's law for the DFT cell and can differ from measured ones.

Structure:
Cell lengths 6.9546, 6.1613, 11.1908 Å; angles 90.00, 90.00, 90.00 degrees
Space group Pmn2_1 (No. 31)
One atom of each set of equivalent atoms:
K 0.0000 0.1333 0.0000 x2
Mg 0.0000 0.1141 0.3468 x2
P 0.0000 0.5051 0.7216 x2
H 0.0000 0.6688 0.3901 x2
H 0.0000 0.7757 0.5210 x2
H 0.1174 0.4973 0.2246 x4
H 0.1757 0.8878 0.7052 x4
H 0.1781 0.6786 0.9180 x4
H 0.2006 0.2881 0.5384 x4
H 0.2447 0.1372 0.7150 x4
O 0.0000 0.4337 0.2644 x2
O 0.0000 0.5246 0.8599 x2
O 0.0000 0.7377 0.6642 x2
O 0.0000 0.8086 0.4325 x2
O 0.1834 0.3840 0.6779 x4
O 0.2112 0.0170 0.2268 x4
O 0.2256 0.2227 0.4576 x4

The 8 most intense peaks (2θ from 10° to 90°), in order of rising 2θ:
| d_spacing | I/Imax | h k l |
| --- | --- | --- |
| 4.264 | 100 | 1 1 1 |
| 4.142 | 49 | 0 1 2 |
| 3.287 | 52 | 1 0 3 |
| 2.923 | 77 | 2 1 1 |
| 2.798 | 36 | 0 0 4 |
| 2.699 | 51 | 0 2 2 |
| 2.663 | 56 | 2 1 2 |
| 1.800 | 25 | 0 3 3 |